Computed X-ray diffraction stick pattern of Pa3Te2Ir for a wavelength of 1.5418 Å, from a DFT-relaxed cell (PBE, Alexandria).
Lines closer than 0.1° are merged.

Largest 6 diffraction maxima, by angle, 2θ = 5–70°:
2θ/deg	Rel. int.
12.37	14
29.55	52
29.62	100
41.79	52
42.91	53
52.99	27

Structural model:
Unit cell a=7.2985 b=7.2985 c=7.5618 alpha=99.33 beta=99.33 gamma=119.94
Sites, in units of the cell vectors:
1 Pa 0.0634 0.4271 0.7807
2 Pa 0.2080 0.2080 0.2103
3 Pa 0.4271 0.0634 0.7807
4 Pa 0.5729 0.9366 0.2193
5 Pa 0.7920 0.7920 0.7897
6 Pa 0.9366 0.5729 0.2193
7 Te 0.0000 0.0000 0.5000
8 Te 0.3473 0.6527 0.5000
9 Te 0.5000 0.5000 0.0000
10 Te 0.6527 0.3473 0.5000
11 Ir 0.1679 0.8321 0.0000
12 Ir 0.8321 0.1679 0.0000



Computed X-ray diffraction stick pattern of TaNb8Pt2 for a wavelength of 1.5418 Å, from a DFT-relaxed cell (PBE, Alexandria).
Lines closer than 0.1° are merged.

Largest 6 diffraction maxima, by angle, 2θ = 5–70°:
2θ/deg	Rel. int.
36.54	62
36.76	48
37.20	89
38.18	100
40.36	84
41.11	54

Structural model:
Unit cell a=5.8501 b=4.7139 c=7.5136 alpha=90.00 beta=102.70 gamma=90.00
Sites, in units of the cell vectors:
1 Ta 0.0000 0.0000 0.0000
2 Nb 0.0009 0.5000 0.3126
3 Nb 0.2445 0.0000 0.3958
4 Nb 0.2691 0.5000 0.0408
5 Nb 0.3681 0.0000 0.8098
6 Nb 0.6319 0.0000 0.1902
7 Nb 0.7309 0.5000 0.9592
8 Nb 0.7555 0.0000 0.6042
9 Nb 0.9991 0.5000 0.6874
10 Pt 0.4326 0.5000 0.6482
11 Pt 0.5674 0.5000 0.3518



Computed X-ray diffraction stick pattern of LaFe6Co6B6 for a wavelength of 1.5418 Å, from a DFT-relaxed cell (PBE, Alexandria).
Lines closer than 0.1° are merged.

Largest 6 diffraction maxima, by angle, 2θ = 5–70°:
2θ/deg	Rel. int.
32.39	39
32.67	27
40.94	53
41.40	100
46.67	23
49.46	24

Structural model:
Unit cell a=6.0207 b=6.0207 c=6.0207 alpha=104.10 beta=104.10 gamma=104.10
Sites, in units of the cell vectors:
1 La 0.0000 0.0000 0.0000
2 Fe 0.1318 0.5000 0.8682
3 Fe 0.1318 0.8682 0.5000
4 Fe 0.5000 0.1318 0.8682
5 Fe 0.5000 0.8682 0.1318
6 Fe 0.8682 0.1318 0.5000
7 Fe 0.8682 0.5000 0.1318
8 Co 0.1865 0.4589 0.4589
9 Co 0.4589 0.1865 0.4589
10 Co 0.4589 0.4589 0.1865
11 Co 0.5411 0.5411 0.8135
12 Co 0.5411 0.8135 0.5411
13 Co 0.8135 0.5411 0.5411
14 B 0.2335 0.2335 0.6753
15 B 0.2335 0.6753 0.2335
16 B 0.3247 0.7665 0.7665
17 B 0.6753 0.2335 0.2335
18 B 0.7665 0.3247 0.7665
19 B 0.7665 0.7665 0.3247



Computed X-ray diffraction stick pattern of Sc2BeW for a wavelength of 1.5418 Å, from a DFT-relaxed cell (PBE, Alexandria).
Lines closer than 0.1° are merged.

Largest 6 diffraction maxima, by angle, 2θ = 5–70°:
2θ/deg	Rel. int.
10.54	100
21.16	23
31.05	25
32.88	37
37.89	60
44.49	23

Structural model:
Unit cell a=2.8798 b=2.8798 c=8.3963 alpha=90.00 beta=90.00 gamma=90.00
Sites, in units of the cell vectors:
1 Sc 0.0000 0.0000 0.0000
2 Sc 0.5000 0.5000 0.3385
3 Be 0.5000 0.5000 0.7889
4 W 0.0000 0.0000 0.6025



Repeat the first record exactly.
Computed X-ray diffraction stick pattern of Pa3Te2Ir for a wavelength of 1.5418 Å, from a DFT-relaxed cell (PBE, Alexandria).
Lines closer than 0.1° are merged.

Largest 6 diffraction maxima, by angle, 2θ = 5–70°:
2θ/deg	Rel. int.
12.37	14
29.55	52
29.62	100
41.79	52
42.91	53
52.99	27

Structural model:
Unit cell a=7.2985 b=7.2985 c=7.5618 alpha=99.33 beta=99.33 gamma=119.94
Sites, in units of the cell vectors:
1 Pa 0.0634 0.4271 0.7807
2 Pa 0.2080 0.2080 0.2103
3 Pa 0.4271 0.0634 0.7807
4 Pa 0.5729 0.9366 0.2193
5 Pa 0.7920 0.7920 0.7897
6 Pa 0.9366 0.5729 0.2193
7 Te 0.0000 0.0000 0.5000
8 Te 0.3473 0.6527 0.5000
9 Te 0.5000 0.5000 0.0000
10 Te 0.6527 0.3473 0.5000
11 Ir 0.1679 0.8321 0.0000
12 Ir 0.8321 0.1679 0.0000